Diffraction record for Li2VSi4O11. The XRD peak list is calculated, not measured: it uses a GGA+U-relaxed structure and CuKα.
Lines closer than 0.1° are merged.

Main lines, by angle (10° ≤ 2θ ≤ 90°):
d (Å)	I (rel.)
5.014	62.3
4.870	57.5
4.011	46.1
3.718	84.1
3.307	61.9
3.279	73.7
3.097	100.0
2.953	45.5

Structure:
```
36
Lattice="5.3771 -4.8702 0.0000 5.3771 4.8702 0.0000 -1.6238 0.0000 8.0214" Properties=species:S:1:pos:R:3 pbc="T T T"
Li 4.1593 4.1521 6.0160
Li 4.1593 1.4913 6.0160
Li 4.9712 -1.4913 2.0053
Li 4.9712 -4.1521 2.0053
V 1.8767 2.4351 4.0107
V 2.6886 -2.4351 0.0000
Si 4.7876 2.9138 0.4921
Si 2.8643 0.6308 1.2362
Si 5.1548 2.9138 3.5186
Si 2.0524 -0.6308 5.2469
Si 7.0781 0.6308 2.7745
Si 3.9757 -2.9138 4.5028
Si 6.2661 -0.6308 6.7852
Si 4.3429 -2.9138 7.5292
O 1.6134 0.9154 0.2216
O 4.9712 3.5784 2.0053
O 3.8302 2.9360 4.4532
O 2.4626 1.3349 2.6576
O 2.3188 0.9545 5.3625
O 0.8015 -0.9154 4.2323
O 4.2015 1.4007 0.6454
O 4.4884 2.9360 7.5789
O 3.1307 -0.9545 1.3519
O 1.6507 -1.3349 6.6683
O 5.7408 1.4007 3.3652
O 3.3896 -1.4007 4.6561
O 7.4798 1.3349 1.3531
O 5.9997 0.9545 6.6695
O 4.6421 -2.9360 0.4425
O 4.9289 -1.4007 7.3759
O 8.3290 0.9154 3.7891
O 6.8116 -0.9545 2.6588
O 6.6679 -1.3349 5.3637
O 5.3003 -2.9360 3.5682
O 4.1593 -3.5784 6.0160
O 7.5171 -0.9154 7.7998
```